(1)
This entry pairs a crystal structure of Sr3CaAl8Si8O40 with its theoretical XRD peak list. Radiation: copper Kα. Structure: a DFT-relaxed cell (PBE, the Materials Project).
Neutral-atom scattering factors, no anomalous dispersion.

Top 10 peaks for 10° ≤ 2θ ≤ 90°, in order of rising 2θ:
19.07 deg, d 4.653, I = 60, hkl 0 2 1; 19.26 deg, d 4.607, I = 58, hkl 2 2 0; 20.86 deg, d 4.259, I = 83, hkl 2 2 -1; 27.11 deg, d 3.289, I = 63, hkl 0 6 1; 32.64 deg, d 2.743, I = 70, hkl 0 8 1; 33.18 deg, d 2.700, I = 89, hkl 2 4 1; 33.65 deg, d 2.664, I = 68, hkl 4 0 -1; 33.76 deg, d 2.655, I = 100, hkl 2 8 -1; 41.75 deg, d 2.164, I = 70, hkl 0 6 2; 42.12 deg, d 2.145, I = 62, hkl 4 6 0

Structure:
```
data_Sr3CaAl8Si8O40
_chemical_formula_sum 'Sr6 Ca2 Al16 Si16 O80'
_cell_length_a 10.7162
_cell_length_b 26.3070
_cell_length_c 5.4179
_cell_angle_alpha 90.00
_cell_angle_beta 113.32
_cell_angle_gamma 90.00
_space_group_name_H-M_alt 'C 1 m 1'
_space_group_IT_number 8
_space_group_name_Hall 'C -2y'
loop_
_atom_site_label
_atom_site_type_symbol
_atom_site_fract_x
_atom_site_fract_y
_atom_site_fract_z
_atom_site_occupancy
Sr1 Sr 0.0000 0.0000 0.0000 1
Sr2 Sr 0.3219 0.2502 0.3189 1
Ca1 Ca 0.4956 0.0000 0.0057 1
Al1 Al 0.1607 0.3764 0.1583 1
Al2 Al 0.1621 0.1249 0.1597 1
Al3 Al 0.4110 0.3752 0.6581 1
Al4 Al 0.4120 0.1241 0.6608 1
Si1 Si 0.1550 0.3112 0.6854 1
Si2 Si 0.1560 0.1893 0.6865 1
Si3 Si 0.1650 0.4402 0.6299 1
Si4 Si 0.1698 0.0603 0.6376 1
O1 O 0.0148 0.2500 0.1170 1
O2 O 0.0892 0.4099 0.7990 1
O3 O 0.0911 0.0895 0.8054 1
O4 O 0.0974 0.4304 0.3052 1
O5 O 0.1028 0.0726 0.3162 1
O6 O 0.1342 0.0000 0.6734 1
O7 O 0.1346 0.5000 0.6892 1
O8 O 0.1863 0.2502 0.6453 1
O9 O 0.2232 0.3235 0.0061 1
O10 O 0.2238 0.1772 0.0072 1
O11 O 0.2314 0.3404 0.5137 1
O12 O 0.2340 0.1599 0.5184 1
O13 O 0.3080 0.5000 0.2025 1
O14 O 0.3176 0.0000 0.1940 1
O15 O 0.3296 0.4308 0.7529 1
O16 O 0.3350 0.0676 0.7648 1
O17 O 0.3348 0.0931 0.3158 1
O18 O 0.3352 0.4068 0.3159 1
O19 O 0.4882 0.1557 0.0047 1
O20 O 0.4880 0.3437 0.0023 1
O21 O 0.4905 0.1801 0.5601 1
O22 O 0.4917 0.3198 0.5600 1
```

(2)
This entry pairs a crystal structure of SrCa3Al8Si8O40 with its theoretical XRD peak list. Radiation: copper Kα. Structure: a DFT-relaxed cell (PBE, the Materials Project).
Neutral-atom scattering factors, no anomalous dispersion.

Top 10 peaks for 10° ≤ 2θ ≤ 90°, in order of rising 2θ:
18.00 deg, d 4.927, I = 63, hkl 1 0 1; 21.03 deg, d 4.224, I = 52, hkl 0 1 2; 24.14 deg, d 3.687, I = 52, hkl 0 2 2; 27.30 deg, d 3.267, I = 53, hkl 1 3 -1; 32.86 deg, d 2.726, I = 100, hkl 1 4 -1; 33.26 deg, d 2.693, I = 67, hkl 2 2 0; 33.73 deg, d 2.657, I = 88, hkl 1 0 3; 33.98 deg, d 2.638, I = 84, hkl 0 4 2; 36.46 deg, d 2.465, I = 55, hkl 2 0 -2; 42.12 deg, d 2.145, I = 90, hkl 2 3 -2

Structure:
```
data_SrCa3Al8Si8O40
_chemical_formula_sum 'Sr1 Ca3 Al8 Si8 O40'
_cell_length_a 5.9108
_cell_length_b 13.0862
_cell_length_c 8.9251
_cell_angle_alpha 90.00
_cell_angle_beta 90.16
_cell_angle_gamma 90.00
_space_group_name_H-M_alt 'P 1 m 1'
_space_group_IT_number 6
_space_group_name_Hall 'P -2y'
loop_
_atom_site_label
_atom_site_type_symbol
_atom_site_fract_x
_atom_site_fract_y
_atom_site_fract_z
_atom_site_occupancy
Sr1 Sr 0.0000 0.0000 0.0000 1
Ca1 Ca 0.0096 0.5000 0.3348 1
Ca2 Ca 0.5006 0.0000 0.5089 1
Ca3 Ca 0.5095 0.5000 0.8358 1
Al1 Al 0.2558 0.2506 0.4218 1
Al2 Al 0.2565 0.2517 0.9218 1
Al3 Al 0.7555 0.2505 0.4219 1
Al4 Al 0.7545 0.2518 0.9217 1
Si1 Si 0.0044 0.3813 0.6925 1
Si2 Si 0.0069 0.1199 0.6487 1
Si3 Si 0.5044 0.3814 0.1927 1
Si4 Si 0.5065 0.1205 0.1525 1
O1 O 0.0020 0.5000 0.6249 1
O2 O 0.0049 0.1834 0.8087 1
O3 O 0.0053 0.1913 0.3207 1
O4 O 0.0060 0.3096 0.0225 1
O5 O 0.0060 0.3155 0.5348 1
O6 O 0.0099 0.0000 0.7097 1
O7 O 0.0339 0.0000 0.2982 1
O8 O 0.2326 0.3662 0.7951 1
O9 O 0.2369 0.1367 0.5493 1
O10 O 0.2758 0.3646 0.2938 1
O11 O 0.2807 0.1389 0.0502 1
O12 O 0.4795 0.5000 0.5592 1
O13 O 0.5019 0.5000 0.1263 1
O14 O 0.5050 0.1842 0.3117 1
O15 O 0.5051 0.1915 0.8204 1
O16 O 0.5061 0.3096 0.5236 1
O17 O 0.5060 0.3182 0.0331 1
O18 O 0.5095 0.0000 0.2148 1
O19 O 0.5336 0.0000 0.7845 1
O20 O 0.7326 0.1407 0.0525 1
O21 O 0.7328 0.3657 0.2957 1
O22 O 0.7759 0.3651 0.7932 1
O23 O 0.7771 0.1351 0.5472 1
O24 O 0.9795 0.5000 0.0593 1
```